Computed X-ray diffraction stick pattern
Compound: Hf2Be15Zn2
Radiation: CuKα
Structure: the PBE geometry in Alexandria
Lines closer than 0.1° are merged.

Lattice parameters (Å, degrees): 7.6437 7.6437 11.1792 90.00 90.00 120.00
Space group R-3m (No. 166, hexagonal axes)
Inequivalent atoms, fractional coordinates:
Hf  0.0000  0.0000  0.1554 (multiplicity 6)
Be  0.0000  0.2963  0.5000 (multiplicity 18)
Be  0.0000  0.5000  0.0000 (multiplicity 9)
Be  0.0083  0.5041  0.6573 (multiplicity 18)
Zn  0.0000  0.0000  0.3951 (multiplicity 6)

Peak list (8 most intense, 2θ = 15–90°, most intense first)
2θ (°), d [Å], I (rel.), (hkl)
23.27, 3.822, 100, 1 1 0
33.59, 2.668, 32, 1 1 3
40.90, 2.207, 29, 3 0 0
34.85, 2.575, 24, 1 0 4
48.86, 1.864, 22, 2 1 4
47.59, 1.911, 20, 2 2 0
47.91, 1.899, 16, 0 3 3
42.33, 2.135, 16, 0 2 4